The following is a computed powder diffraction line list of LuNi4B. It was derived from a crystal structure in the Materials Project, relaxed with PBE, using copper Kα.
Neutral-atom scattering factors, no anomalous dispersion.

Principal peaks in the range 10 to 90 degrees two-theta, by angle:
d 4.272, 2θ = 20.79°, I 19; d 2.692, 2θ = 33.28°, I 95; d 2.466, 2θ = 36.43°, I 33; d 2.136, 2θ = 42.32°, I 73; d 2.010, 2θ = 45.11°, I 100; d 1.464, 2θ = 63.56°, I 30; d 1.418, 2θ = 65.84°, I 16; d 1.346, 2θ = 69.87°, I 16; d 1.317, 2θ = 71.64°, I 24; d 1.233, 2θ = 77.39°, I 20

Crystal structure
Cell lengths 4.933, 4.933, 6.936 Å; angles 90.00, 90.00, 120.00 degrees
Fractional coordinates of all 12 atoms:
Lu (0.000, 0.000, 0.000)
Lu (0.000, 0.000, 0.500)
Ni (0.000, 0.500, 0.207)
Ni (0.000, 0.500, 0.793)
Ni (0.333, 0.667, 0.500)
Ni (0.500, 0.000, 0.207)
Ni (0.500, 0.000, 0.793)
Ni (0.500, 0.500, 0.207)
Ni (0.500, 0.500, 0.793)
Ni (0.667, 0.333, 0.500)
B (0.333, 0.667, 0.000)
B (0.667, 0.333, 0.000)

***

The following is a computed powder diffraction line list of Lu2B4O9. It was derived from a crystal structure in the Materials Project, relaxed with PBE, using copper Kα.
Neutral-atom scattering factors, no anomalous dispersion.

Principal peaks in the range 10 to 90 degrees two-theta, by angle:
d 7.107, 2θ = 12.46°, I 52; d 5.004, 2θ = 17.73°, I 47; d 3.761, 2θ = 23.65°, I 44; d 3.323, 2θ = 26.83°, I 39; d 3.065, 2θ = 29.14°, I 49; d 3.037, 2θ = 29.41°, I 29; d 2.999, 2θ = 29.79°, I 73; d 2.948, 2θ = 30.32°, I 100; d 2.765, 2θ = 32.38°, I 32; d 2.486, 2θ = 36.13°, I 30

Crystal structure
Cell lengths 6.126, 6.369, 7.411 Å; angles 102.75, 97.30, 102.36 degrees
Fractional coordinates of all 30 atoms:
Lu (0.051, 0.089, 0.289)
Lu (0.387, 0.677, 0.361)
Lu (0.613, 0.323, 0.639)
Lu (0.949, 0.911, 0.711)
B (0.127, 0.357, 0.649)
B (0.161, 0.685, 0.928)
B (0.233, 0.333, 0.982)
B (0.495, 0.143, 0.192)
B (0.505, 0.857, 0.808)
B (0.767, 0.667, 0.018)
B (0.839, 0.315, 0.072)
B (0.873, 0.643, 0.351)
O (0.005, 0.795, 0.024)
O (0.037, 0.538, 0.747)
O (0.082, 0.820, 0.449)
O (0.266, 0.262, 0.787)
O (0.275, 0.574, 0.045)
O (0.283, 0.405, 0.519)
O (0.311, 0.872, 0.877)
O (0.361, 0.283, 0.147)
O (0.428, 0.040, 0.328)
O (0.572, 0.960, 0.672)
O (0.639, 0.717, 0.853)
O (0.689, 0.128, 0.123)
O (0.717, 0.595, 0.481)
O (0.725, 0.426, 0.955)
O (0.734, 0.738, 0.213)
O (0.918, 0.180, 0.551)
O (0.963, 0.462, 0.253)
O (0.995, 0.205, 0.976)

***

The following is a computed powder diffraction line list of Lu4B6O15. It was derived from a crystal structure in the Materials Project, relaxed with PBE, using copper Kα.
Neutral-atom scattering factors, no anomalous dispersion.

Principal peaks in the range 10 to 90 degrees two-theta, by angle:
d 3.960, 2θ = 22.45°, I 100; d 3.819, 2θ = 23.29°, I 57; d 3.434, 2θ = 25.95°, I 47; d 2.883, 2θ = 31.01°, I 98; d 2.874, 2θ = 31.12°, I 75; d 2.857, 2θ = 31.31°, I 39; d 2.803, 2θ = 31.93°, I 84; d 2.697, 2θ = 33.21°, I 82; d 1.861, 2θ = 48.93°, I 35; d 1.716, 2θ = 53.40°, I 40

Crystal structure
Cell lengths 6.181, 6.181, 18.677 Å; angles 95.82, 95.82, 41.43 degrees
Fractional coordinates of all 50 atoms:
Lu (0.063, 0.669, 0.900)
Lu (0.068, 0.657, 0.698)
Lu (0.331, 0.937, 0.600)
Lu (0.343, 0.932, 0.802)
Lu (0.657, 0.068, 0.198)
Lu (0.669, 0.063, 0.400)
Lu (0.932, 0.343, 0.302)
Lu (0.937, 0.331, 0.100)
B (0.021, 0.642, 0.525)
B (0.197, 0.609, 0.087)
B (0.204, 0.659, 0.306)
B (0.341, 0.796, 0.194)
B (0.358, 0.979, 0.975)
B (0.391, 0.803, 0.413)
B (0.609, 0.197, 0.587)
B (0.642, 0.021, 0.025)
B (0.659, 0.204, 0.806)
B (0.796, 0.341, 0.694)
B (0.803, 0.391, 0.913)
B (0.979, 0.358, 0.475)
O (0.003, 0.250, 0.981)
O (0.052, 0.316, 0.704)
O (0.071, 0.565, 0.139)
O (0.091, 0.493, 0.450)
O (0.130, 0.870, 0.250)
O (0.157, 0.813, 0.379)
O (0.187, 0.843, 0.121)
O (0.250, 0.003, 0.481)
O (0.287, 0.546, 0.571)
O (0.316, 0.052, 0.204)
O (0.333, 0.535, 0.803)
O (0.435, 0.929, 0.361)
O (0.454, 0.713, 0.929)
O (0.465, 0.667, 0.697)
O (0.493, 0.091, 0.950)
O (0.507, 0.909, 0.050)
O (0.535, 0.333, 0.303)
O (0.546, 0.287, 0.071)
O (0.565, 0.071, 0.639)
O (0.667, 0.465, 0.197)
O (0.684, 0.948, 0.796)
O (0.713, 0.454, 0.429)
O (0.750, 0.997, 0.519)
O (0.813, 0.157, 0.879)
O (0.843, 0.187, 0.621)
O (0.870, 0.130, 0.750)
O (0.909, 0.507, 0.550)
O (0.929, 0.435, 0.861)
O (0.948, 0.684, 0.296)
O (0.997, 0.750, 0.019)